Diffraction record for Li4Cr3Co3Sn2O16. The powder diffractogram is calculated, not measured: it uses the GGA+U geometry in Alexandria and copper Kα.
Neutral-atom scattering factors, no anomalous dispersion.

Cell and atoms:
abc: 5.850 5.853 9.638
angles: 90.23 90.78 119.68
Atoms (fractional coordinates):
Li 0.000 0.000 0.000
Li 0.008 0.004 0.499
Li 0.329 0.660 0.903
Li 0.653 0.329 0.398
Cr 0.654 0.827 0.220
Cr 0.826 0.655 0.719
Cr 0.831 0.172 0.724
Co 0.162 0.335 0.220
Co 0.164 0.827 0.220
Co 0.337 0.164 0.720
Sn 0.327 0.662 0.496
Sn 0.657 0.324 0.000
O 0.003 0.007 0.811
O 0.009 0.001 0.312
O 0.025 0.515 0.333
O 0.156 0.838 0.606
O 0.157 0.317 0.608
O 0.309 0.151 0.112
O 0.309 0.657 0.118
O 0.464 0.965 0.339
O 0.470 0.509 0.341
O 0.509 0.472 0.842
O 0.510 0.026 0.840
O 0.656 0.311 0.614
O 0.683 0.845 0.603
O 0.838 0.155 0.106
O 0.843 0.681 0.106
O 0.964 0.470 0.844

The 6 most intense peaks (10 to 90 degrees two-theta), low angle first:
hkl 1 0 -1, d 4.524, intensity 77; hkl 0 1 1, d 4.478, intensity 100; hkl 1 0 1, d 4.462, intensity 31; hkl 1 1 2, d 2.488, intensity 40; hkl 2 0 1, d 2.449, intensity 34; hkl 2 -4 0, d 1.463, intensity 36